This entry pairs a crystal structure of Be4C with its simulated powder XRD pattern. Radiation: Cu Kα, 1.54184 Å. Structure: a crystal structure in Alexandria, relaxed with GGA-PBE.
Lines closer than 0.1° are merged.

```
Be4C
1.0
2.769 0.000 0.000
-1.384 2.398 0.000
0.000 0.000 8.236
Be C
4 1
direct
0.333 0.667 0.077
0.333 0.667 0.409
0.667 0.333 0.591
0.667 0.333 0.923
0.000 0.000 0.000
```

The 8 most intense peaks (10° ≤ 2θ ≤ 80°), sorted by position:
- 2θ = 10.74°, 8.236 Å, I 100.0, hkl 0 0 1
- 2θ = 21.58°, 4.118 Å, I 71.3, hkl 0 0 2
- 2θ = 32.62°, 2.745 Å, I 7.1, hkl 0 0 3
- 2θ = 39.13°, 2.302 Å, I 25.2, hkl 0 1 1
- 2θ = 50.54°, 1.806 Å, I 25.8, hkl 0 1 3
- 2θ = 59.15°, 1.562 Å, I 7.2, hkl 0 1 4
- 2θ = 67.68°, 1.384 Å, I 11.9, hkl 1 1 0
- 2θ = 71.96°, 1.312 Å, I 7.7, hkl 1 1 2